Diffraction record for Ca4Al5CrSi6H2O26. The PXRD pattern is computed, not measured: it uses a structure optimized by DFT (PBE+U) and copper Kα.
Neutral-atom scattering factors, no anomalous dispersion.

Cell and atoms:
a = 5.682 Å, b = 8.948 Å, c = 10.259 Å
α = 115.24°, β = 90.01°, γ = 90.08°
Space group P-1 (No. 2)
One atom of each set of equivalent atoms:
Ca (0.250, 0.109, 0.423)
Ca (0.250, 0.260, 0.155)
Al (0.000, 0.500, 0.500)
Al (0.251, 0.209, 0.774)
Al (0.500, 0.500, 0.000)
Al (0.500, 0.500, 0.500)
Cr (0.000, 0.500, 0.000)
Si (0.250, 0.820, 0.726)
Si (0.251, 0.685, 0.317)
Si (0.251, 0.841, 0.049)
H (0.251, 0.442, 0.675)
O (0.001, 0.256, 0.952)
O (0.013, 0.800, 0.349)
O (0.014, 0.709, 0.657)
O (0.250, 0.419, 0.572)
O (0.250, 0.565, 0.405)
O (0.250, 0.865, 0.899)
O (0.250, 0.987, 0.702)
O (0.252, 0.019, 0.180)
O (0.258, 0.539, 0.146)
O (0.262, 0.439, 0.862)
O (0.486, 0.709, 0.657)
O (0.486, 0.803, 0.352)
O (0.495, 0.736, 0.045)

Main lines, sorted by position (10° ≤ 2θ ≤ 80°):
17.5 deg, intensity 35, hkl 0 1 -2; 30.5 deg, intensity 100, hkl 1 -1 3; 31.5 deg, intensity 32, hkl 2 0 0; 33.4 deg, intensity 30, hkl 2 1 0; 34.2 deg, intensity 38, hkl 1 -3 1; 37.1 deg, intensity 55, hkl 1 3 -3; 42.3 deg, intensity 29, hkl -2 2 1; 65.7 deg, intensity 33, hkl 4 0 0

Diffraction record for Li2Fe3CoO8. The PXRD pattern is computed, not measured: it uses a structure optimized by DFT (PBE+U) and copper Kα.
Neutral-atom scattering factors, no anomalous dispersion.

Cell and atoms:
a = 10.420 Å, b = 5.889 Å, c = 5.103 Å
α = 90.00°, β = 108.38°, γ = 90.00°
Space group C2/m (No. 12)
One atom of each set of equivalent atoms:
Li (0.250, 0.250, 0.000)
Fe (0.000, 0.000, 0.000)
Fe (0.000, 0.254, 0.500)
Co (0.000, 0.500, 0.000)
O (0.103, 0.262, 0.218)
O (0.106, 0.500, 0.756)
O (0.107, 0.000, 0.751)

Main lines, sorted by position (10° ≤ 2θ ≤ 80°):
17.9 deg, intensity 100, hkl 2 0 0; 35.7 deg, intensity 35, hkl 2 0 -2; 42.9 deg, intensity 38, hkl 2 2 1; 43.3 deg, intensity 18, hkl 4 0 -2; 47.1 deg, intensity 7, hkl 4 2 -1; 56.3 deg, intensity 10, hkl 4 2 1; 62.1 deg, intensity 10, hkl 6 2 -1; 63.1 deg, intensity 15, hkl 0 4 0

Diffraction record for MgFe4P4O16. The PXRD pattern is computed, not measured: it uses a structure optimized by DFT (PBE+U) and copper Kα.
Neutral-atom scattering factors, no anomalous dispersion.

Cell and atoms:
a = 5.279 Å, b = 8.498 Å, c = 8.914 Å
α = 84.50°, β = 84.72°, γ = 72.60°
Space group P1 (No. 1)
One atom of each set of equivalent atoms:
Mg (0.000, 0.000, 0.000)
Fe (0.143, 0.498, 0.274)
Fe (0.503, 0.599, 0.756)
Fe (0.716, 0.090, 0.729)
Fe (0.954, 0.101, 0.328)
P (0.261, 0.004, 0.645)
P (0.477, 0.143, 0.110)
P (0.688, 0.495, 0.435)
P (0.951, 0.656, 0.932)
O (0.037, 0.634, 0.095)
O (0.040, 0.016, 0.537)
O (0.103, 0.080, 0.791)
O (0.183, 0.557, 0.826)
O (0.249, 0.057, 0.131)
O (0.379, 0.307, 0.184)
O (0.412, 0.551, 0.372)
O (0.421, 0.821, 0.680)
O (0.454, 0.101, 0.582)
O (0.584, 0.163, 0.944)
O (0.660, 0.443, 0.607)
O (0.713, 0.588, 0.921)
O (0.733, 0.032, 0.189)
O (0.838, 0.627, 0.405)
O (0.881, 0.843, 0.887)
O (0.888, 0.347, 0.350)

Main lines, sorted by position (10° ≤ 2θ ≤ 80°):
14.3 deg, intensity 23, hkl 0 1 1; 15.4 deg, intensity 22, hkl 0 1 -1; 19.5 deg, intensity 38, hkl 1 1 1; 19.7 deg, intensity 17, hkl 1 0 1; 20.1 deg, intensity 17, hkl 0 0 2; 22.0 deg, intensity 100, hkl 0 2 0; 23.6 deg, intensity 24, hkl 0 1 -2; 31.3 deg, intensity 29, hkl -1 1 2